[1]
Calculated powder diffractogram of Zn3Fe16Ni5O32 for a wavelength of 1.5418 Å, from a PBE+U-relaxed structure.

Principal peaks in the range 2θ from 5° to 70°, sorted by position:
two_theta	intensity	h k l
18.29	18	1 1 1
30.06	41	2 0 -2
30.14	21	2 -2 0
35.37	87	1 3 1
35.48	100	3 1 1
35.54	17	3 1 -1
37.07	19	-2 2 2
56.78	20	-1 1 5
56.96	29	-1 5 1
62.37	15	0 4 4
62.53	45	0 4 -4
62.66	30	4 -4 0

Atomic structure:
a = 8.375 Å, b = 8.400 Å, c = 8.428 Å
α = 89.88°, β = 89.94°, γ = 90.00°
Sites, in units of the cell vectors:
Zn 0.000 0.000 0.000
Zn 0.244 0.748 0.750
Zn 0.492 0.502 0.001
Fe 0.120 0.375 0.876
Fe 0.120 0.877 0.374
Fe 0.244 0.251 0.246
Fe 0.368 0.127 0.875
Fe 0.371 0.624 0.376
Fe 0.495 0.002 0.506
Fe 0.619 0.124 0.127
Fe 0.620 0.872 0.874
Fe 0.622 0.374 0.376
Fe 0.745 0.250 0.748
Fe 0.745 0.747 0.249
Fe 0.870 0.127 0.376
Fe 0.870 0.375 0.128
Fe 0.870 0.875 0.625
Fe 0.871 0.624 0.876
Fe 0.997 0.502 0.507
Ni 0.121 0.126 0.627
Ni 0.122 0.626 0.124
Ni 0.368 0.872 0.124
Ni 0.369 0.376 0.627
Ni 0.619 0.625 0.627
O 0.100 0.882 0.614
O 0.103 0.607 0.883
O 0.104 0.377 0.114
O 0.107 0.121 0.379
O 0.123 0.371 0.638
O 0.126 0.630 0.373
O 0.126 0.868 0.141
O 0.134 0.142 0.868
O 0.357 0.359 0.870
O 0.363 0.633 0.142
O 0.365 0.870 0.374
O 0.366 0.129 0.639
O 0.379 0.616 0.611
O 0.380 0.124 0.115
O 0.384 0.379 0.376
O 0.386 0.892 0.882
O 0.612 0.119 0.884
O 0.618 0.611 0.379
O 0.620 0.378 0.611
O 0.621 0.887 0.124
O 0.631 0.138 0.370
O 0.637 0.365 0.143
O 0.637 0.872 0.627
O 0.638 0.638 0.870
O 0.857 0.861 0.861
O 0.860 0.364 0.368
O 0.861 0.141 0.143
O 0.867 0.638 0.638
O 0.871 0.610 0.115
O 0.872 0.115 0.611
O 0.874 0.889 0.387
O 0.879 0.383 0.888

[2]
Calculated powder diffractogram of MnP2O7 for a wavelength of 1.5418 Å, from a PBE+U-relaxed structure.

Principal peaks in the range 2θ from 5° to 70°, sorted by position:
two_theta	intensity	h k l
14.84	100	0 1 1
22.76	70	1 1 0
23.19	98	1 -1 0
23.45	100	0 0 2
29.93	10	0 2 2
32.06	34	1 2 1
32.98	40	0 1 3
36.12	22	2 0 0
36.69	13	1 -1 2
39.63	19	1 2 -1
39.73	10	-2 1 1
44.68	9	1 3 1

Atomic structure:
a = 4.976 Å, b = 6.625 Å, c = 8.154 Å
α = 68.53°, β = 88.38°, γ = 88.40°
Sites, in units of the cell vectors:
Mn 0.241 0.212 0.233
Mn 0.759 0.788 0.767
P 0.244 0.104 0.665
P 0.277 0.456 0.814
P 0.723 0.544 0.186
P 0.756 0.896 0.335
O 0.049 0.951 0.274
O 0.085 0.650 0.734
O 0.176 0.288 0.989
O 0.286 0.338 0.674
O 0.303 0.136 0.474
O 0.433 0.475 0.180
O 0.443 0.944 0.791
O 0.557 0.056 0.209
O 0.567 0.525 0.820
O 0.697 0.864 0.526
O 0.714 0.662 0.326
O 0.824 0.712 0.011
O 0.915 0.350 0.266
O 0.951 0.049 0.726

Number 2 is which compound?
MnP2O7